(1)
For Sm2Cu3Ru, a crystal structure in Alexandria, relaxed with PBE gives the theoretical powder XRD pattern in this record (Cu Kα, 1.54184 Å).

Structure:
```
Sm2Cu3Ru
1.0
10.149 0.000 0.000
0.000 4.255 0.000
-4.735 0.000 5.277
Sm Cu Ru
4 6 2
Direct
0.000 0.000 0.000
0.090 0.000 0.590
0.500 0.500 0.000
0.590 0.500 0.590
0.212 0.500 0.409
0.216 0.500 0.026
0.385 0.000 0.196
0.712 0.000 0.409
0.716 0.000 0.026
0.885 0.500 0.196
0.401 0.000 0.613
0.901 0.500 0.613
```

Principal peaks in the range 10 to 90 degrees two-theta, sorted by position:
2θ/deg, intensity
24.0, 16
33.8, 30
34.0, 30
34.5, 28
34.7, 78
35.4, 100
40.5, 15
41.7, 67
42.5, 46
56.5, 15

(2)
For Tb2PrZr, a crystal structure in Alexandria, relaxed with PBE gives the theoretical powder XRD pattern in this record (Cu Kα, 1.54184 Å).

Structure:
```
Tb2PrZr
1.0
3.491 0.000 0.000
-1.746 3.023 0.000
0.000 0.000 34.319
Tb Pr Zr
6 3 3
Direct
0.000 0.000 0.000
0.000 0.000 0.180
0.333 0.667 0.667
0.333 0.667 0.847
0.667 0.333 0.333
0.667 0.333 0.513
0.000 0.000 0.423
0.333 0.667 0.090
0.667 0.333 0.757
0.000 0.000 0.590
0.333 0.667 0.257
0.667 0.333 0.923
```

Principal peaks in the range 10 to 90 degrees two-theta, sorted by position:
2θ/deg, intensity
29.7, 14
30.0, 21
31.3, 63
32.4, 100
34.9, 57
39.7, 23
52.4, 34
54.7, 23
62.3, 37
63.0, 15

(3)
For La2Pr5Ga4, a crystal structure in Alexandria, relaxed with PBE gives the theoretical powder XRD pattern in this record (Cu Kα, 1.54184 Å).

Structure:
```
La2Pr5Ga4
1.0
-1.990 6.463 7.270
1.990 -6.463 7.270
1.990 6.463 -7.270
La Pr Ga
2 5 4
Direct
0.204 0.204 0.000
0.796 0.796 0.000
0.000 0.500 0.500
0.181 0.859 0.322
0.462 0.141 0.322
0.538 0.859 0.678
0.819 0.141 0.678
0.162 0.000 0.162
0.412 0.412 0.000
0.588 0.588 0.000
0.838 0.000 0.838
```

Principal peaks in the range 10 to 90 degrees two-theta, sorted by position:
2θ/deg, intensity
27.0, 91
27.7, 100
29.0, 79
30.6, 68
31.5, 66
33.0, 74
39.6, 99
41.9, 46
45.6, 39
51.6, 32

(4)
For Sm4Tl2Rh, a crystal structure in Alexandria, relaxed with PBE gives the theoretical powder XRD pattern in this record (Cu Kα, 1.54184 Å).

Structure:
```
Sm4Tl2Rh
1.0
6.656 0.000 0.000
0.000 3.747 0.000
-3.268 0.000 8.652
Sm Tl Rh
4 2 1
Direct
0.121 0.000 0.255
0.330 0.500 0.652
0.670 0.500 0.348
0.879 0.000 0.745
0.265 0.500 0.001
0.735 0.500 0.999
0.500 0.000 0.500
```

Principal peaks in the range 10 to 90 degrees two-theta, sorted by position:
2θ/deg, intensity
27.8, 87
31.0, 39
31.5, 100
31.6, 49
33.9, 70
34.1, 64
37.6, 58
37.7, 53
39.4, 66
48.6, 42

(5)
For K2RbHg10, a crystal structure in Alexandria, relaxed with PBE gives the theoretical powder XRD pattern in this record (Cu Kα, 1.54184 Å).

Structure:
```
K2RbHg10
1.0
10.069 0.000 0.000
0.000 15.760 0.000
0.000 0.000 6.369
K Rb Hg
4 2 20
Direct
0.029 0.136 0.000
0.471 0.636 0.000
0.529 0.364 0.000
0.971 0.864 0.000
0.000 0.500 0.500
0.500 0.000 0.500
0.047 0.746 0.500
0.127 0.947 0.500
0.196 0.324 0.232
0.196 0.324 0.768
0.202 0.133 0.500
0.298 0.633 0.500
0.304 0.824 0.232
0.304 0.824 0.768
0.373 0.447 0.500
0.453 0.246 0.500
0.547 0.754 0.500
0.627 0.553 0.500
0.696 0.176 0.232
0.696 0.176 0.768
0.702 0.367 0.500
0.798 0.867 0.500
0.804 0.676 0.232
0.804 0.676 0.768
0.873 0.053 0.500
0.953 0.254 0.500
```

Principal peaks in the range 10 to 90 degrees two-theta, sorted by position:
2θ/deg, intensity
11.2, 36
13.9, 100
14.3, 22
30.6, 23
31.6, 43
32.1, 29
33.5, 28
35.3, 27
36.1, 29
37.4, 36

(6)
For Tb4NdY3, a crystal structure in Alexandria, relaxed with PBE gives the theoretical powder XRD pattern in this record (Cu Kα, 1.54184 Å).

Structure:
```
Tb4NdY3
1.0
23.611 0.000 0.000
0.000 3.470 0.000
-1.926 0.000 6.486
Tb Nd Y
8 2 6
Direct
0.125 0.000 0.371
0.240 0.500 0.245
0.260 0.000 0.755
0.375 0.500 0.629
0.625 0.500 0.371
0.740 0.000 0.245
0.760 0.500 0.755
0.875 0.000 0.629
0.000 0.500 0.000
0.500 0.000 0.000
0.000 0.000 0.500
0.127 0.000 0.884
0.373 0.500 0.116
0.500 0.500 0.500
0.627 0.500 0.884
0.873 0.000 0.116
```

Principal peaks in the range 10 to 90 degrees two-theta, sorted by position:
2θ/deg, intensity
28.3, 14
28.9, 31
30.8, 100
31.6, 44
32.5, 20
33.1, 48
37.3, 20
43.4, 18
55.8, 16
62.3, 17